For CsKHI, a DFT-relaxed cell (PBE, Alexandria) gives the simulated powder diffraction line list in this record (Cu Kα (weighted mean of Kα1 and Kα2)).
Kinematic intensities with the Lorentz-polarization factor, no thermal factor.

The 12 most intense peaks (2θ from 10° to 80°), in order of rising 2θ:
2θ = 20.2°, I 16
2θ = 20.4°, I 18
2θ = 21.9°, I 21
2θ = 24.5°, I 100
2θ = 26.7°, I 20
2θ = 30.5°, I 13
2θ = 34.7°, I 34
2θ = 35.2°, I 41
2θ = 43.4°, I 21
2θ = 48.0°, I 13
2θ = 56.4°, I 14
2θ = 57.0°, I 18

abc: 5.1005 5.1005 50.9689
angles: 90.00 90.00 120.00
Space group R-3m (No. 166, hexagonal axes)
Asymmetric unit:
1 Cs 0.0000 0.0000 0.0000 x3
2 Cs 0.0000 0.0000 0.5000 x3
3 K 0.0000 0.0000 0.2451 x6
4 H 0.0000 0.0000 0.1979 x6
5 I 0.0000 0.0000 0.3817 x6